Structure and computed powder diffractogram of Tb3Ce (a cell relaxed with GGA-PBE; CuKα).

Peak list (10 most intense, 10° ≤ 2θ ≤ 90°, low angle first)
| 2θ (°) | I_rel |
| --- | --- |
| 31.1 | 100 |
| 35.9 | 34 |
| 36.3 | 17 |
| 51.7 | 12 |
| 52.0 | 24 |
| 61.6 | 28 |
| 62.1 | 14 |
| 64.8 | 12 |
| 84.5 | 6 |
| 85.0 | 12 |

Structural model:
Lattice parameters (Å, degrees): 4.999 4.999 9.901 90.00 90.00 90.00
Space group I4/mmm (No. 139)
One atom of each set of equivalent atoms:
1 Tb 0.000 0.000 0.000 x2
2 Tb 0.000 0.500 0.250 x4
3 Ce 0.000 0.000 0.500 x2